1.
Diffraction record for Gd3Nb2Au3. The PXRD pattern is computed, not measured: it uses a DFT-relaxed cell (GGA-PBE, OQMD) and Cu Kα, 1.54184 Å.
Kinematic intensities with the Lorentz-polarization factor, no thermal factor.

Largest 6 diffraction maxima, in order of rising 2θ, 2θ = 10–90°:
- 2θ 20.41, I 59
- 2θ 25.14, I 46
- 2θ 29.02, I 100
- 2θ 29.28, I 48
- 2θ 41.50, I 80
- 2θ 41.69, I 93

Structure:
a = 4.352 Å, b = 4.352 Å, c = 12.202 Å
α = 90.00°, β = 90.00°, γ = 90.00°
Space group P-4m2 (No. 115)
One atom of each set of equivalent atoms:
Gd1 0.000 0.000 0.000 (multiplicity 1)
Gd2 0.000 0.000 0.500 (multiplicity 1)
Gd3 0.500 0.500 0.000 (multiplicity 1)
Nb1 0.000 0.500 0.823 (multiplicity 2)
Au1 0.500 0.500 0.286 (multiplicity 2)
Au2 0.500 0.500 0.500 (multiplicity 1)

***

2.
Diffraction record for Gd2NiAu. The PXRD pattern is computed, not measured: it uses a DFT-relaxed cell (GGA-PBE, OQMD) and Cu Kα, 1.54184 Å.
Kinematic intensities with the Lorentz-polarization factor, no thermal factor.

Largest 6 diffraction maxima, in order of rising 2θ, 2θ = 10–90°:
- 2θ 28.49, I 67
- 2θ 31.65, I 80
- 2θ 34.36, I 43
- 2θ 35.33, I 88
- 2θ 39.83, I 100
- 2θ 40.46, I 48

Structure:
a = 5.538 Å, b = 4.529 Å, c = 7.242 Å
α = 90.00°, β = 91.62°, γ = 90.00°
Space group P2_1/m (No. 11)
One atom of each set of equivalent atoms:
Gd1 0.142 0.250 0.294 (multiplicity 2)
Gd2 0.355 0.250 0.831 (multiplicity 2)
Ni1 0.133 0.750 0.036 (multiplicity 2)
Au1 0.343 0.750 0.544 (multiplicity 2)